Diffraction record for GaHRh3. The powder X-ray diffraction pattern is theoretical, not measured: it uses a cell relaxed with GGA-PBE and Cu Kα, 1.54184 Å.
No peak broadening, texture or thermal motion is included.

Largest 10 diffraction maxima, in order of rising 2θ, 15 to 90 degrees two-theta:
- d 2.301, 2θ 39.1, rel. 31.1
- d 2.251, 2θ 40.1, rel. 100.0
- d 2.079, 2θ 43.5, rel. 26.3
- d 1.893, 2θ 48.1, rel. 23.3
- d 1.812, 2θ 50.4, rel. 14.9
- d 1.400, 2θ 66.8, rel. 16.9
- d 1.283, 2θ 73.9, rel. 10.6
- d 1.231, 2θ 77.6, rel. 13.8
- d 1.176, 2θ 81.9, rel. 8.1
- d 1.151, 2θ 84.1, rel. 8.0

Structure:
Cell lengths 5.6235, 5.6235, 5.6235 Å; angles 123.14, 123.14, 84.64 degrees
Fractional coordinates of all 10 atoms:
Ga: 0.0000 0.5000 0.5000
Ga: 0.5000 0.0000 0.5000
H: 0.2327 0.2327 0.0000
H: 0.7327 0.7327 0.0000
Rh: 0.0569 0.5569 0.1130
Rh: 0.4439 0.9439 0.8870
Rh: 0.4984 0.4984 0.0000
Rh: 0.5569 0.4439 0.5000
Rh: 0.9439 0.0569 0.5000
Rh: 0.9984 0.9984 0.0000

Diffraction record for GaHRh3. The powder X-ray diffraction pattern is theoretical, not measured: it uses a cell relaxed with GGA-PBE and Cu Kα, 1.54184 Å.
No peak broadening, texture or thermal motion is included.

Largest 10 diffraction maxima, in order of rising 2θ, 15 to 90 degrees two-theta:
- d 2.390, 2θ 37.6, rel. 17.2
- d 2.250, 2θ 40.1, rel. 100.0
- d 2.085, 2θ 43.4, rel. 26.5
- d 2.074, 2θ 43.7, rel. 22.5
- d 1.890, 2θ 48.2, rel. 23.3
- d 1.571, 2θ 58.8, rel. 9.2
- d 1.400, 2θ 66.8, rel. 16.9
- d 1.238, 2θ 77.0, rel. 9.4
- d 1.233, 2θ 77.4, rel. 13.9
- d 1.149, 2θ 84.3, rel. 8.1

Structure:
Cell lengths 5.3444, 5.3444, 4.1690 Å; angles 90.00, 90.00, 90.00 degrees
Fractional coordinates of all 10 atoms:
Ga: 0.0000 0.5000 0.0000
Ga: 0.5000 0.0000 0.0000
H: 0.0000 0.0000 0.5453
H: 0.5000 0.5000 0.5453
Rh: 0.0000 0.0000 0.0049
Rh: 0.1939 0.3061 0.4991
Rh: 0.3061 0.8061 0.4991
Rh: 0.5000 0.5000 0.0049
Rh: 0.6939 0.1939 0.4991
Rh: 0.8061 0.6939 0.4991